# Bi2PPd2
Calculated XRD peak list, λ = 1.5418 Å (Cu Kα). Input: the GGA-PBE geometry in Alexandria.
Intensities are scaled so that the largest is 100.

Cell and atoms:
Lattice parameters (Å, degrees): 6.4095 6.4095 5.3842 90.00 90.00 90.00
Space group P4/mbm (No. 127)
Inequivalent atoms, fractional coordinates:
Bi (0.1918, 0.3082, 0.0000) [4 per cell]
P (0.0000, 0.0000, 0.5000) [2 per cell]
Pd (0.1773, 0.6773, 0.5000) [4 per cell]

The 10 most intense peaks (10 to 80 degrees two-theta), by angle:
hkl  2θ/deg  I_rel
0 0 1  16.46  11
2 0 0  27.84  46
2 0 1  32.51  16
0 0 2  33.28  38
2 1 1  35.48  100
2 2 0  39.78  12
2 0 2  43.92  28
2 2 2  52.81  11
2 1 3  60.90  21
4 1 1  62.15  39

---

# PrBi2P2Pd7
Calculated XRD peak list, λ = 1.5418 Å (Cu Kα). Input: the GGA-PBE geometry in Alexandria.
Intensities are scaled so that the largest is 100.

Cell and atoms:
Lattice parameters (Å, degrees): 6.1292 6.7896 11.5324 90.00 93.89 90.00
Space group C2/m (No. 12)
Inequivalent atoms, fractional coordinates:
Pr (0.0000, 0.0000, 0.0000) [2 per cell]
Bi (0.1522, 0.0000, 0.3859) [4 per cell]
P (0.1782, 0.5000, 0.1860) [4 per cell]
Pd (0.0000, 0.5000, 0.0000) [2 per cell]
Pd (0.1298, 0.2919, 0.7883) [8 per cell]
Pd (0.1331, 0.5000, 0.3912) [4 per cell]

The 10 most intense peaks (10 to 80 degrees two-theta), by angle:
hkl  2θ/deg  I_rel
0 2 0  26.25  36
0 2 2  30.58  63
2 0 2  34.13  62
0 2 3  35.31  62
2 0 -3  36.31  53
0 0 5  39.15  66
2 2 -1  40.06  100
2 2 2  43.56  24
2 2 4  52.58  31
2 2 -6  61.71  44

---

# Sr3Bi2P2Pd4
Calculated XRD peak list, λ = 1.5418 Å (Cu Kα). Input: the GGA-PBE geometry in Alexandria.
Intensities are scaled so that the largest is 100.

Cell and atoms:
Lattice parameters (Å, degrees): 4.3988 4.3988 16.5721 90.00 90.00 120.00
Space group P-3m1 (No. 164)
Inequivalent atoms, fractional coordinates:
Sr (0.0000, 0.0000, 0.0000) [1 per cell]
Sr (0.0000, 0.0000, 0.2488) [2 per cell]
Bi (0.3333, 0.6667, 0.5715) [2 per cell]
P (0.3333, 0.6667, 0.1302) [2 per cell]
Pd (0.3333, 0.6667, 0.3860) [2 per cell]
Pd (0.3333, 0.6667, 0.8721) [2 per cell]

The 10 most intense peaks (10 to 80 degrees two-theta), by angle:
hkl  2θ/deg  I_rel
0 0 2  10.68  17
1 0 1  23.97  42
0 1 2  25.74  23
1 0 3  28.46  37
0 1 4  31.91  100
0 1 6  40.33  30
1 1 0  41.04  86
2 0 4  52.91  24
1 1 7  57.17  20
1 2 4  69.06  21

---

# Pm5BiP4
Calculated XRD peak list, λ = 1.5418 Å (Cu Kα). Input: the GGA-PBE geometry in Alexandria.
Intensities are scaled so that the largest is 100.

Cell and atoms:
Lattice parameters (Å, degrees): 14.0517 4.1718 10.4414 90.00 119.83 90.00
Space group C2/m (No. 12)
Inequivalent atoms, fractional coordinates:
Pm (0.0000, 0.0000, 0.0000) [2 per cell]
Pm (0.1104, 0.5000, 0.3862) [4 per cell]
Pm (0.2068, 0.0000, 0.8164) [4 per cell]
Bi (0.0000, 0.0000, 0.5000) [2 per cell]
P (0.0975, 0.5000, 0.8995) [4 per cell]
P (0.2025, 0.0000, 0.2942) [4 per cell]

The 10 most intense peaks (10 to 80 degrees two-theta), by angle:
hkl  2θ/deg  I_rel
4 0 -1  25.82  15
1 1 1  26.04  21
2 0 2  29.86  51
3 1 -2  30.00  100
6 0 -4  42.50  17
1 1 -4  42.71  36
5 1 0  42.97  37
0 2 0  43.38  19
4 0 -6  52.59  11
2 2 2  53.56  20